# Tm4TcBi2
Computed PXRD pattern, a wavelength of 1.5418 Å. Input: a cell relaxed with PBE.
Lines closer than 0.1° are merged.

Cell and atoms:
Lattice parameters (Å, degrees): 7.9217 11.9768 4.3283 90.00 90.00 90.00
Sites, in units of the cell vectors:
Tm  0.1336  0.1979  0.0000
Tm  0.2051  0.9416  0.5000
Tm  0.2949  0.4416  0.5000
Tm  0.3664  0.6979  0.0000
Tm  0.6336  0.3021  0.0000
Tm  0.7051  0.5584  0.5000
Tm  0.7949  0.0584  0.5000
Tm  0.8664  0.8021  0.0000
Tc  0.0000  0.0000  0.0000
Tc  0.5000  0.5000  0.0000
Bi  0.0783  0.6716  0.5000
Bi  0.4217  0.1716  0.5000
Bi  0.5783  0.8284  0.5000
Bi  0.9217  0.3284  0.5000

Most intense lines, 2θ = 10–90°, by angle:
- d 3.621, 2θ = 24.6°, I 26.7
- d 3.565, 2θ = 25.0°, I 19.5
- d 2.839, 2θ = 31.5°, I 100.0
- d 2.801, 2θ = 32.0°, I 56.8
- d 2.752, 2θ = 32.5°, I 47.4
- d 2.626, 2θ = 34.1°, I 37.8
- d 2.416, 2θ = 37.2°, I 25.8
- d 2.164, 2θ = 41.7°, I 35.3
- d 2.026, 2θ = 44.7°, I 27.5
- d 1.713, 2θ = 53.5°, I 31.8

---

# Tm5TcBi
Computed PXRD pattern, a wavelength of 1.5418 Å. Input: a cell relaxed with PBE.
Lines closer than 0.1° are merged.

Cell and atoms:
Lattice parameters (Å, degrees): 6.3098 6.3098 11.3555 104.94 104.94 66.16
Sites, in units of the cell vectors:
Tm  0.0302  0.4074  0.6368
Tm  0.0303  0.9697  0.7500
Tm  0.2123  0.5397  0.9566
Tm  0.4074  0.0302  0.1368
Tm  0.4603  0.7877  0.5434
Tm  0.5397  0.2123  0.4566
Tm  0.5926  0.9698  0.8632
Tm  0.7877  0.4603  0.0434
Tm  0.9697  0.0303  0.2500
Tm  0.9698  0.5926  0.3632
Tc  0.0000  0.0000  0.0000
Tc  0.0000  0.0000  0.5000
Bi  0.4616  0.5384  0.2500
Bi  0.5384  0.4616  0.7500

Most intense lines, 2θ = 10–90°, by angle:
- d 3.220, 2θ = 27.7°, I 38.4
- d 2.874, 2θ = 31.1°, I 92.3
- d 2.842, 2θ = 31.5°, I 88.2
- d 2.828, 2θ = 31.6°, I 56.2
- d 2.760, 2θ = 32.4°, I 100.0
- d 2.717, 2θ = 33.0°, I 68.4
- d 2.608, 2θ = 34.4°, I 54.6
- d 2.489, 2θ = 36.1°, I 35.2
- d 2.125, 2θ = 42.5°, I 43.7
- d 2.019, 2θ = 44.9°, I 29.4

---

# Tm4TcBi
Computed PXRD pattern, a wavelength of 1.5418 Å. Input: a cell relaxed with PBE.
Lines closer than 0.1° are merged.

Cell and atoms:
Lattice parameters (Å, degrees): 7.9821 4.2641 18.8814 90.00 90.00 90.00
Sites, in units of the cell vectors:
Tm  0.0024  0.2500  0.0633
Tm  0.0707  0.7500  0.2053
Tm  0.1166  0.7500  0.6391
Tm  0.1463  0.7500  0.4560
Tm  0.3537  0.2500  0.9560
Tm  0.3834  0.2500  0.1391
Tm  0.4293  0.2500  0.7053
Tm  0.4976  0.7500  0.5633
Tm  0.5024  0.2500  0.4367
Tm  0.5707  0.7500  0.2947
Tm  0.6166  0.7500  0.8609
Tm  0.6463  0.7500  0.0440
Tm  0.8537  0.2500  0.5440
Tm  0.8834  0.2500  0.3609
Tm  0.9293  0.2500  0.7947
Tm  0.9976  0.7500  0.9367
Tc  0.2455  0.7500  0.0609
Tc  0.2545  0.2500  0.5609
Tc  0.7455  0.7500  0.4391
Tc  0.7545  0.2500  0.9391
Bi  0.2401  0.7500  0.8061
Bi  0.2599  0.2500  0.3061
Bi  0.7401  0.7500  0.6939
Bi  0.7599  0.2500  0.1939

Most intense lines, 2θ = 10–90°, by angle:
- d 2.942, 2θ = 30.4°, I 100.0
- d 2.914, 2θ = 30.7°, I 64.1
- d 2.827, 2θ = 31.6°, I 27.7
- d 2.743, 2θ = 32.6°, I 28.8
- d 2.665, 2θ = 33.6°, I 27.6
- d 2.644, 2θ = 33.9°, I 88.9
- d 2.557, 2θ = 35.1°, I 42.2
- d 2.318, 2θ = 38.9°, I 42.9
- d 2.192, 2θ = 41.2°, I 31.8
- d 2.132, 2θ = 42.4°, I 54.5

---

# ZrTcBi
Computed PXRD pattern, a wavelength of 1.5418 Å. Input: a cell relaxed with PBE.
Lines closer than 0.1° are merged.

Cell and atoms:
Lattice parameters (Å, degrees): 3.3286 3.3286 7.1626 108.94 108.94 62.41
Sites, in units of the cell vectors:
Zr  0.0000  0.0000  0.0000
Tc  0.3344  0.3344  0.6991
Bi  0.8529  0.8529  0.3863

Most intense lines, 2θ = 10–90°, by angle:
- d 6.627, 2θ = 13.4°, I 38.1
- d 2.886, 2θ = 31.0°, I 38.5
- d 2.873, 2θ = 31.1°, I 35.7
- d 2.634, 2θ = 34.0°, I 36.8
- d 2.597, 2θ = 34.5°, I 31.2
- d 2.465, 2θ = 36.5°, I 69.8
- d 2.442, 2θ = 36.8°, I 100.0
- d 2.209, 2θ = 40.9°, I 36.9
- d 1.982, 2θ = 45.8°, I 25.6
- d 1.653, 2θ = 55.6°, I 22.5

---

# Bi2Te3
Computed PXRD pattern, a wavelength of 1.5418 Å. Input: a cell relaxed with PBE.
Lines closer than 0.1° are merged.

Cell and atoms:
Lattice parameters (Å, degrees): 9.8513 7.0258 12.8146 90.00 126.13 90.00
Sites, in units of the cell vectors:
Bi  0.1565  0.0516  0.0056
Bi  0.1565  0.4484  0.5056
Bi  0.2860  0.2220  0.7575
Bi  0.2860  0.2780  0.2575
Bi  0.7140  0.7220  0.7425
Bi  0.7140  0.7780  0.2425
Bi  0.8435  0.5516  0.4944
Bi  0.8435  0.9484  0.9944
Te  0.0353  0.6522  0.2116
Te  0.0353  0.8478  0.7116
Te  0.3544  0.6491  0.8636
Te  0.3544  0.8509  0.3636
Te  0.3573  0.6511  0.1339
Te  0.3573  0.8489  0.6339
Te  0.6427  0.1511  0.3661
Te  0.6427  0.3489  0.8661
Te  0.6456  0.1491  0.6364
Te  0.6456  0.3509  0.1364
Te  0.9647  0.1522  0.2884
Te  0.9647  0.3478  0.7884

Most intense lines, 2θ = 10–90°, by angle:
- d 4.092, 2θ = 21.7°, I 51.9
- d 3.972, 2θ = 22.4°, I 76.7
- d 3.269, 2θ = 27.3°, I 59.5
- d 3.097, 2θ = 28.8°, I 89.0
- d 2.964, 2θ = 30.2°, I 51.5
- d 2.907, 2θ = 30.8°, I 95.9
- d 2.881, 2θ = 31.0°, I 76.6
- d 2.790, 2θ = 32.1°, I 100.0
- d 2.651, 2θ = 33.8°, I 95.9
- d 2.030, 2θ = 44.6°, I 48.1

---

# Bi3Te4
Computed PXRD pattern, a wavelength of 1.5418 Å. Input: a cell relaxed with PBE.
Lines closer than 0.1° are merged.

Cell and atoms:
Lattice parameters (Å, degrees): 8.6629 8.6629 7.9531 113.25 113.25 29.49
Sites, in units of the cell vectors:
Bi  0.0000  0.0000  0.0000
Bi  0.2596  0.2596  0.2781
Bi  0.7404  0.7404  0.7219
Te  0.1260  0.1260  0.4563
Te  0.3702  0.3702  0.0224
Te  0.6298  0.6298  0.9776
Te  0.8740  0.8740  0.5437

Most intense lines, 2θ = 10–90°, by angle:
- d 6.841, 2θ = 12.9°, I 34.1
- d 3.854, 2θ = 23.1°, I 35.9
- d 3.492, 2θ = 25.5°, I 86.0
- d 3.421, 2θ = 26.0°, I 45.9
- d 2.860, 2θ = 31.3°, I 49.5
- d 2.764, 2θ = 32.4°, I 100.0
- d 2.668, 2θ = 33.6°, I 83.6
- d 2.658, 2θ = 33.7°, I 43.2
- d 2.268, 2θ = 39.8°, I 86.0
- d 2.205, 2θ = 40.9°, I 42.2

---

# Bi3Te4
Computed PXRD pattern, a wavelength of 1.5418 Å. Input: a cell relaxed with PBE.
Lines closer than 0.1° are merged.

Cell and atoms:
Lattice parameters (Å, degrees): 7.8643 7.8643 4.3961 90.00 90.00 106.67
Sites, in units of the cell vectors:
Bi  0.0000  0.0000  0.0000
Bi  0.0000  0.5000  0.5000
Bi  0.5000  0.0000  0.5000
Te  0.2429  0.2429  0.5000
Te  0.2525  0.7475  0.0000
Te  0.7475  0.2525  0.0000
Te  0.7571  0.7571  0.5000

Most intense lines, 2θ = 10–90°, by angle:
- d 7.534, 2θ = 11.7°, I 25.9
- d 3.209, 2θ = 27.8°, I 100.0
- d 3.154, 2θ = 28.3°, I 47.9
- d 2.348, 2θ = 38.3°, I 21.4
- d 2.250, 2θ = 40.1°, I 76.0
- d 2.198, 2θ = 41.1°, I 19.1
- d 1.883, 2θ = 48.3°, I 22.2
- d 1.803, 2θ = 50.6°, I 19.5
- d 1.430, 2θ = 65.2°, I 18.2
- d 1.415, 2θ = 66.0°, I 17.7

---

# Bi2Te3
Computed PXRD pattern, a wavelength of 1.5418 Å. Input: a cell relaxed with PBE.
Lines closer than 0.1° are merged.

Cell and atoms:
Lattice parameters (Å, degrees): 4.4286 4.4286 11.1641 101.38 101.38 59.98
Sites, in units of the cell vectors:
Bi  0.0000  0.0000  0.0000
Bi  0.1279  0.1279  0.3855
Te  0.3971  0.3971  0.1924
Te  0.6141  0.6141  0.8412
Te  0.8472  0.8472  0.5441

Most intense lines, 2θ = 10–90°, by angle:
- d 5.435, 2θ = 16.3°, I 30.9
- d 3.809, 2θ = 23.4°, I 32.4
- d 3.733, 2θ = 23.8°, I 30.3
- d 3.470, 2θ = 25.7°, I 51.7
- d 3.306, 2θ = 27.0°, I 45.6
- d 2.961, 2θ = 30.2°, I 84.7
- d 2.793, 2θ = 32.0°, I 100.0
- d 2.484, 2θ = 36.2°, I 29.4
- d 2.214, 2θ = 40.8°, I 90.9
- d 1.735, 2θ = 52.8°, I 25.0

---

# Th3Bi3Te2
Computed PXRD pattern, a wavelength of 1.5418 Å. Input: a cell relaxed with PBE.
Lines closer than 0.1° are merged.

Cell and atoms:
Lattice parameters (Å, degrees): 12.3292 12.3292 12.3292 159.55 157.34 30.71
Sites, in units of the cell vectors:
Th  0.0000  0.0000  0.0000
Th  0.3474  0.8474  0.5000
Th  0.6526  0.1526  0.5000
Bi  0.1137  0.6137  0.5000
Bi  0.5000  0.5000  0.0000
Bi  0.8863  0.3863  0.5000
Te  0.2474  0.2474  0.0000
Te  0.7526  0.7526  0.0000

Most intense lines, 2θ = 10–90°, by angle:
- d 2.972, 2θ = 30.1°, I 17.0
- d 2.850, 2θ = 31.4°, I 100.0
- d 2.422, 2θ = 37.1°, I 18.9
- d 2.320, 2θ = 38.8°, I 8.5
- d 2.189, 2θ = 41.2°, I 15.6
- d 1.878, 2θ = 48.5°, I 9.3
- d 1.624, 2θ = 56.7°, I 11.4
- d 1.468, 2θ = 63.3°, I 15.2
- d 1.425, 2θ = 65.5°, I 7.7
- d 1.360, 2θ = 69.1°, I 10.8

---

# TiBi3Te
Computed PXRD pattern, a wavelength of 1.5418 Å. Input: a cell relaxed with PBE.
Lines closer than 0.1° are merged.

Cell and atoms:
Lattice parameters (Å, degrees): 5.4205 5.4205 5.4205 90.00 90.00 90.00
Sites, in units of the cell vectors:
Ti  0.0000  0.0000  0.0000
Bi  0.0000  0.0000  0.5000
Bi  0.0000  0.5000  0.0000
Bi  0.5000  0.0000  0.0000
Te  0.5000  0.5000  0.5000

Most intense lines, 2θ = 10–90°, by angle:
- d 5.420, 2θ = 16.4°, I 9.7
- d 3.130, 2θ = 28.5°, I 100.0
- d 2.710, 2θ = 33.1°, I 66.8
- d 1.916, 2θ = 47.4°, I 49.3
- d 1.634, 2θ = 56.3°, I 47.1
- d 1.565, 2θ = 59.0°, I 17.3
- d 1.355, 2θ = 69.3°, I 8.1
- d 1.244, 2θ = 76.6°, I 19.8
- d 1.212, 2θ = 79.0°, I 22.9
- d 1.106, 2θ = 88.3°, I 18.1

---

# Tl9BiTe6
Computed PXRD pattern, a wavelength of 1.5418 Å. Input: a cell relaxed with PBE.
Lines closer than 0.1° are merged.

Cell and atoms:
Lattice parameters (Å, degrees): 9.2738 9.2738 9.2738 122.07 122.07 86.45
Sites, in units of the cell vectors:
Tl  0.0000  0.0000  0.0000
Tl  0.0101  0.5106  0.2062
Tl  0.1961  0.9899  0.5004
Tl  0.3043  0.8039  0.7938
Tl  0.4894  0.6957  0.4996
Tl  0.5106  0.3043  0.5004
Tl  0.6957  0.1961  0.2062
Tl  0.8039  0.0101  0.4996
Tl  0.9899  0.4894  0.7938
Bi  0.5000  0.5000  0.0000
Te  0.1743  0.3484  0.5227
Te  0.2626  0.2626  0.0000
Te  0.3484  0.8257  0.1741
Te  0.6516  0.1743  0.8259
Te  0.7374  0.7374  0.0000
Te  0.8257  0.6516  0.4773

Most intense lines, 2θ = 10–90°, by angle:
- d 2.998, 2θ = 29.8°, I 100.0
- d 2.983, 2θ = 30.0°, I 16.4
- d 2.840, 2θ = 31.5°, I 56.5
- d 2.253, 2θ = 40.0°, I 10.8
- d 2.008, 2θ = 45.1°, I 8.9
- d 1.961, 2θ = 46.3°, I 11.6
- d 1.870, 2θ = 48.7°, I 9.0
- d 1.765, 2θ = 51.8°, I 14.4
- d 1.564, 2θ = 59.1°, I 22.1
- d 1.498, 2θ = 62.0°, I 9.0

---

# TlBiTe2
Computed PXRD pattern, a wavelength of 1.5418 Å. Input: a cell relaxed with PBE.
Lines closer than 0.1° are merged.

Cell and atoms:
Lattice parameters (Å, degrees): 4.5057 4.5057 8.3736 90.00 90.00 120.00
Sites, in units of the cell vectors:
Tl  0.0000  0.0000  0.0000
Bi  0.0000  0.0000  0.5000
Te  0.3333  0.6667  0.7186
Te  0.6667  0.3333  0.2814

Most intense lines, 2θ = 10–90°, by angle:
- d 3.902, 2θ = 22.8°, I 30.9
- d 3.537, 2θ = 25.2°, I 28.4
- d 2.855, 2θ = 31.3°, I 100.0
- d 2.253, 2θ = 40.0°, I 40.0
- d 2.093, 2θ = 43.2°, I 8.5
- d 1.845, 2θ = 49.4°, I 13.0
- d 1.768, 2θ = 51.7°, I 25.1
- d 1.534, 2θ = 60.4°, I 19.1
- d 1.391, 2θ = 67.3°, I 22.9
- d 1.314, 2θ = 71.8°, I 8.4